Record 1
The following is a simulated X-ray diffraction stick pattern of ThSi2H2Pt6. It was derived from a DFT-relaxed cell (GGA-PBE, Alexandria), using Cu Kα, 1.54184 Å.
Peak positions follow from Bragg's law for the DFT cell and can differ from measured ones.

The 8 most intense peaks (2θ = 10–90°), low angle first:
2θ/deg	I_rel	(hkl)
27.86	36	1 0 1
33.79	100	0 2 -1
34.16	30	-2 1 1
34.49	61	2 0 -1
35.12	32	1 -1 2
37.55	76	2 -2 0
40.63	34	-1 1 2
45.48	38	1 1 -3

Structure:
Unit cell a=5.7576 b=5.8175 c=6.1936 alpha=111.66 beta=96.90 gamma=114.13
Space group P-1 (No. 2)
Inequivalent atoms, fractional coordinates:
Th  0.0000  0.0000  0.0000 [1 per cell]
Si  0.3661  0.6404  0.0044 [2 per cell]
H  0.1827  0.0201  0.3806 [2 per cell]
Pt  0.0843  0.6426  0.2691 [2 per cell]
Pt  0.3596  0.8658  0.7432 [2 per cell]
Pt  0.4077  0.3481  0.6361 [2 per cell]



Record 2
The following is a simulated X-ray diffraction stick pattern of Ac5BiTe4. It was derived from a DFT-relaxed cell (GGA-PBE, Alexandria), using Cu Kα, 1.54184 Å.
Peak positions follow from Bragg's law for the DFT cell and can differ from measured ones.

The 8 most intense peaks (2θ = 10–90°), low angle first:
2θ/deg	I_rel	(hkl)
26.47	100	1 0 5
37.64	13	2 0 0
37.81	66	1 2 5
46.63	15	2 2 0
46.82	15	0 2 10
61.62	26	2 2 10
68.05	10	3 2 5
68.35	14	1 2 15

Structure:
Unit cell a=4.7791 b=6.7236 c=23.7613 alpha=90.00 beta=90.00 gamma=90.00
Space group Immm (No. 71)
Inequivalent atoms, fractional coordinates:
Ac  0.0000  0.0000  0.0000 [2 per cell]
Ac  0.0000  0.0000  0.1999 [4 per cell]
Ac  0.0000  0.0000  0.3993 [4 per cell]
Bi  0.0000  0.5000  0.0000 [2 per cell]
Te  0.0000  0.5000  0.2008 [4 per cell]
Te  0.0000  0.5000  0.3996 [4 per cell]